[1]
Simulated XRD peak list of Hg3SeCl4 for Cu Kα, 1.54184 Å, from DFT lattice parameters and positions (PBE).
Neutral-atom scattering factors, no anomalous dispersion.

Crystal structure
```
Hg3SeCl4
1.0
6.464 -3.495 0.000
6.464 3.495 0.000
-5.353 0.000 10.623
Hg Se Cl
6 2 8
direct
0.005 0.995 0.500 Hg
0.190 0.329 0.876 Hg
0.329 0.190 0.376 Hg
0.657 0.718 0.698 Hg
0.718 0.657 0.198 Hg
0.995 0.005 0.000 Hg
0.050 0.679 0.801 Se
0.679 0.050 0.301 Se
0.097 0.344 0.088 Cl
0.191 0.869 0.209 Cl
0.344 0.097 0.588 Cl
0.360 0.610 0.557 Cl
0.460 0.934 0.900 Cl
0.610 0.360 0.057 Cl
0.869 0.191 0.709 Cl
0.934 0.460 0.400 Cl
```

Principal peaks in the range 2θ from 5° to 70°, sorted by position:
2θ/deg  Rel. int.
16.8  100
24.9  76
26.4  45
30.7  40
33.6  37
33.7  37

---

[2]
Simulated XRD peak list of AcCdH6Pt3 for Cu Kα, 1.54184 Å, from DFT lattice parameters and positions (PBE).
Neutral-atom scattering factors, no anomalous dispersion.

Crystal structure
```
AcCdH6Pt3
1.0
3.788 2.187 2.855
-3.788 2.187 2.855
0.000 -4.374 2.855
Ac Cd H Pt
1 1 6 3
direct
0.000 0.000 0.000 Ac
0.598 0.598 0.598 Cd
0.085 0.504 0.244 H
0.100 0.479 0.873 H
0.244 0.085 0.504 H
0.479 0.873 0.100 H
0.504 0.244 0.085 H
0.873 0.100 0.479 H
0.085 0.386 0.552 Pt
0.386 0.552 0.085 Pt
0.552 0.085 0.386 Pt
```

Principal peaks in the range 2θ from 5° to 70°, sorted by position:
2θ/deg  Rel. int.
23.5  90
29.2  73
31.3  76
34.4  87
37.8  100
42.1  93

---

[3]
Simulated XRD peak list of Ba4InCu for Cu Kα, 1.54184 Å, from DFT lattice parameters and positions (PBE).
Neutral-atom scattering factors, no anomalous dispersion.

Crystal structure
```
Ba4InCu
1.0
10.270 0.000 0.000
0.000 4.667 0.000
0.000 0.000 21.921
Ba In Cu
16 4 4
direct
0.015 0.250 0.072 Ba
0.031 0.250 0.774 Ba
0.146 0.250 0.359 Ba
0.155 0.250 0.558 Ba
0.345 0.750 0.058 Ba
0.354 0.750 0.859 Ba
0.469 0.750 0.274 Ba
0.485 0.750 0.572 Ba
0.515 0.250 0.428 Ba
0.531 0.250 0.726 Ba
0.646 0.250 0.141 Ba
0.655 0.250 0.942 Ba
0.845 0.750 0.442 Ba
0.854 0.750 0.641 Ba
0.969 0.750 0.226 Ba
0.985 0.750 0.928 Ba
0.234 0.750 0.690 In
0.266 0.250 0.190 In
0.734 0.750 0.810 In
0.766 0.250 0.310 In
0.218 0.250 0.948 Cu
0.282 0.750 0.448 Cu
0.718 0.250 0.552 Cu
0.782 0.750 0.052 Cu
```

Principal peaks in the range 2θ from 5° to 70°, sorted by position:
2θ/deg  Rel. int.
25.8  69
26.3  42
26.5  82
27.9  50
28.6  100
38.6  43